The following is a computed powder diffraction line list of SrH2I2. It was derived from a structure optimized by DFT (PBE), using Cu Ka.

Structure:
a = 11.2292 Å, b = 8.7154 Å, c = 7.9804 Å
α = 84.41°, β = 50.57°, γ = 45.02°
Fractional positions:
Sr  0.1613  0.1613  0.8387
Sr  0.8387  0.8387  0.1613
H  0.0230  0.9770  0.1708
H  0.1708  0.8292  0.0230
H  0.8292  0.1708  0.9770
H  0.9770  0.0230  0.8292
I  0.2148  0.4782  0.5218
I  0.4782  0.2148  0.7852
I  0.5218  0.7852  0.2148
I  0.7852  0.5218  0.4782

Main lines, in order of falling intensity (5 to 70 degrees two-theta):
d 3.030, I = 100.0; d 8.318, I = 51.7; d 3.535, I = 47.9; d 4.159, I = 40.7; d 2.362, I = 31.9; d 2.603, I = 26.3



The following is a computed powder diffraction line list of CsMg4H8. It was derived from a structure optimized by DFT (PBE), using Cu Ka.

Structure:
a = 6.4421 Å, b = 6.4421 Å, c = 6.4421 Å
α = 60.00°, β = 60.00°, γ = 60.00°
Fractional positions:
Cs  0.0000  0.0000  0.0000
Mg  0.3756  0.3756  0.3756
Mg  0.3756  0.3756  0.8731
Mg  0.3756  0.8731  0.3756
Mg  0.8731  0.3756  0.3756
H  0.1614  0.1614  0.1614
H  0.1614  0.1614  0.5159
H  0.1614  0.5159  0.1614
H  0.1993  0.6002  0.6002
H  0.5159  0.1614  0.1614
H  0.6002  0.1993  0.6002
H  0.6002  0.6002  0.1993
H  0.6002  0.6002  0.6002

Main lines, in order of falling intensity (5 to 70 degrees two-theta):
d 2.747, I = 100.0; d 5.260, I = 55.7; d 4.555, I = 53.2; d 3.221, I = 46.5; d 1.753, I = 35.4; d 2.630, I = 26.3



The following is a computed powder diffraction line list of MgPb4. It was derived from a structure optimized by DFT (PBE), using Cu Ka.

Structure:
a = 6.2826 Å, b = 6.2826 Å, c = 8.7144 Å
α = 126.50°, β = 126.50°, γ = 33.21°
Fractional positions:
Mg  0.0000  0.0000  0.0000
Pb  0.2180  0.2180  0.8080
Pb  0.4107  0.4107  0.6213
Pb  0.5893  0.5893  0.3787
Pb  0.7820  0.7820  0.1920

Main lines, in order of falling intensity (5 to 70 degrees two-theta):
d 2.779, I = 100.0; d 2.593, I = 83.3; d 2.861, I = 53.7; d 2.840, I = 50.1; d 2.195, I = 23.6; d 1.679, I = 22.3



The following is a computed powder diffraction line list of LiTa3O8. It was derived from a structure optimized by DFT (PBE), using Cu Ka.

Structure:
a = 7.5525 Å, b = 7.5525 Å, c = 5.1065 Å
α = 90.65°, β = 90.65°, γ = 101.80°
Fractional positions:
Li  0.1552  0.8448  0.7500
Li  0.8448  0.1552  0.2500
Ta  0.1557  0.3279  0.7444
Ta  0.3279  0.1557  0.2444
Ta  0.3298  0.6702  0.2500
Ta  0.6702  0.3298  0.7500
Ta  0.6721  0.8443  0.7556
Ta  0.8443  0.6721  0.2556
O  0.0793  0.6864  0.3915
O  0.0987  0.1955  0.0615
O  0.1955  0.0987  0.5615
O  0.2075  0.5605  0.9248
O  0.3026  0.4323  0.4170
O  0.3136  0.9207  0.1085
O  0.4323  0.3026  0.9170
O  0.4395  0.7925  0.5752
O  0.5605  0.2075  0.4248
O  0.5677  0.6974  0.0830
O  0.6864  0.0793  0.8915
O  0.6974  0.5677  0.5830
O  0.7925  0.4395  0.0752
O  0.8045  0.9013  0.4385
O  0.9013  0.8045  0.9385
O  0.9207  0.3136  0.6085

Main lines, in order of falling intensity (5 to 70 degrees two-theta):
d 3.014, I = 100.0; d 2.974, I = 94.2; d 3.696, I = 61.1; d 2.542, I = 46.1; d 2.553, I = 33.0; d 1.471, I = 32.5